Simulated powder diffraction line list
Compound: Li12AcAg6
Radiation: Cu Kα (λ = 1.5418 Å)
Structure: DFT lattice parameters and positions (GGA-PBE)

Cell and atoms:
```
Li12AcAg6
1.0
5.805 3.352 3.241
-5.805 3.352 3.241
0.000 -6.703 3.241
Li Ac Ag
12 1 6
direct
0.000 0.388 0.612
0.000 0.612 0.388
0.061 0.061 0.335
0.061 0.335 0.061
0.335 0.061 0.061
0.388 0.000 0.612
0.388 0.612 0.000
0.612 0.000 0.388
0.612 0.388 0.000
0.665 0.939 0.939
0.939 0.665 0.939
0.939 0.939 0.665
0.500 0.500 0.500
0.222 0.747 0.747
0.253 0.253 0.778
0.253 0.778 0.253
0.747 0.222 0.747
0.747 0.747 0.222
0.778 0.253 0.253
```

Peak list (10 most intense, 2θ from 10° to 90°, sorted by position)
12.66°, d 6.990, intensity 34
20.29°, d 4.377, intensity 67
25.16°, d 3.540, intensity 47
25.49°, d 3.495, intensity 39
29.84°, d 2.994, intensity 58
30.81°, d 2.902, intensity 100
37.17°, d 2.419, intensity 30
41.25°, d 2.188, intensity 47
52.36°, d 1.747, intensity 20
61.99°, d 1.497, intensity 22